Computed XRD peak list of CsMnH5S2O10 for Cu Ka, from a GGA+U-relaxed structure.

Largest 10 diffraction maxima, low angle first, 10 to 90 degrees two-theta:
2θ 15.4, I = 63.2; 2θ 20.8, I = 44.9; 2θ 22.6, I = 63.1; 2θ 22.8, I = 77.6; 2θ 24.2, I = 62.7; 2θ 25.0, I = 100.0; 2θ 26.1, I = 84.5; 2θ 29.3, I = 46.3; 2θ 29.6, I = 36.6; 2θ 37.8, I = 51.7

Cell and atoms:
a b c (Å): 4.969 5.969 8.749
angles (deg): 104.21 95.82 94.20
Space group P1 (No. 1)
One atom of each set of equivalent atoms:
Cs: 0.000 0.000 0.000
Mn: 0.006 0.999 0.508
H: 0.005 0.348 0.345
H: 0.291 0.663 0.638
H: 0.495 0.518 0.016
H: 0.697 0.307 0.368
H: 0.982 0.642 0.665
S: 0.434 0.680 0.270
S: 0.573 0.311 0.741
O: 0.131 0.749 0.645
O: 0.270 0.875 0.320
O: 0.297 0.450 0.264
O: 0.315 0.275 0.631
O: 0.480 0.685 0.096
O: 0.510 0.305 0.906
O: 0.702 0.717 0.366
O: 0.714 0.540 0.747
O: 0.743 0.117 0.688
O: 0.864 0.231 0.358